Entry 1:
Zn2Hg3: simulated powder XRD pattern (Cu Kα, 1.54184 Å), based on the PBE geometry in Alexandria.
No peak broadening, texture or thermal motion is included.

Crystal structure
Unit cell a=7.038 b=7.038 c=7.038 alpha=60.25 beta=60.25 gamma=60.25
Atoms (fractional coordinates):
Zn 0.175 0.175 0.175
Zn 0.325 0.325 0.325
Zn 0.675 0.675 0.675
Zn 0.825 0.825 0.825
Hg 0.122 0.750 0.378
Hg 0.250 0.622 0.878
Hg 0.378 0.122 0.750
Hg 0.622 0.878 0.250
Hg 0.750 0.378 0.122
Hg 0.878 0.250 0.622

Most intense lines, 2θ = 10–90°, by angle:
two_theta  d (Å)  I/Imax
25.26  3.526  11
29.71  3.007  100
31.03  2.882  14
31.19  2.868  13
40.52  2.226  33
44.43  2.039  29
54.35  1.688  19
54.58  1.681  19
55.27  1.662  11
79.11  1.211  10


Entry 2:
K2LiAgI4: simulated powder XRD pattern (Cu Kα, 1.54184 Å), based on the PBE geometry in Alexandria.
No peak broadening, texture or thermal motion is included.

Crystal structure
Unit cell a=9.373 b=9.373 c=9.280 alpha=119.24 beta=119.24 gamma=91.74
Atoms (fractional coordinates):
K 0.000 0.000 0.000
K 0.000 0.000 0.500
K 0.000 0.500 0.000
K 0.500 0.000 0.500
Li 0.500 0.500 0.000
Li 0.500 0.500 0.500
Ag 0.000 0.500 0.500
Ag 0.500 0.000 0.000
I 0.258 0.734 0.526
I 0.266 0.742 0.974
I 0.272 0.287 0.528
I 0.287 0.272 0.028
I 0.713 0.728 0.972
I 0.728 0.713 0.472
I 0.734 0.258 0.026
I 0.742 0.266 0.474

Most intense lines, 2θ = 10–90°, by angle:
two_theta  d (Å)  I/Imax
11.58  7.640  50
23.27  3.823  90
26.50  3.364  100
26.97  3.306  92
27.33  3.263  85
35.23  2.547  23
38.17  2.358  68
38.43  2.342  64
38.77  2.323  60
47.58  1.911  63


Entry 3:
NaH8W2: simulated powder XRD pattern (Cu Kα, 1.54184 Å), based on the PBE geometry in Alexandria.
No peak broadening, texture or thermal motion is included.

Crystal structure
Unit cell a=4.679 b=4.885 c=4.904 alpha=89.06 beta=88.05 gamma=61.42
Atoms (fractional coordinates):
Na 0.000 0.000 0.000
H 0.008 0.732 0.633
H 0.012 0.342 0.300
H 0.312 0.365 0.859
H 0.356 0.656 0.297
H 0.386 0.001 0.692
H 0.587 0.001 0.287
H 0.677 0.638 0.858
H 0.736 0.272 0.635
W 0.333 0.354 0.512
W 0.686 0.648 0.511

Most intense lines, 2θ = 10–90°, by angle:
two_theta  d (Å)  I/Imax
18.10  4.901  100
20.71  4.290  24
21.64  4.106  22
27.63  3.228  37
27.93  3.195  21
36.67  2.451  22
36.84  2.440  43
38.50  2.338  20
41.03  2.200  23
41.64  2.169  24


Entry 4:
LiMgNbO4: simulated powder XRD pattern (Cu Kα, 1.54184 Å), based on the PBE geometry in Alexandria.
No peak broadening, texture or thermal motion is included.

Crystal structure
Unit cell a=6.158 b=6.158 c=6.158 alpha=120.91 beta=119.54 gamma=89.61
Atoms (fractional coordinates):
Li 0.393 0.143 0.250
Li 0.607 0.857 0.750
Mg 0.000 0.000 0.500
Mg 0.000 0.500 0.000
Nb 0.000 0.500 0.500
Nb 0.500 0.500 0.000
O 0.204 0.725 0.479
O 0.248 0.275 0.527
O 0.248 0.722 0.973
O 0.254 0.275 0.979
O 0.746 0.725 0.021
O 0.752 0.278 0.027
O 0.752 0.725 0.473
O 0.796 0.275 0.521

Most intense lines, 2θ = 10–90°, by angle:
two_theta  d (Å)  I/Imax
17.79  4.987  100
20.33  4.369  16
29.42  3.036  8
34.05  2.633  36
34.14  2.626  15
41.33  2.185  16
41.63  2.169  31
45.25  2.004  8
55.21  1.664  14
60.11  1.539  20


Entry 5:
La2ZnInIr: simulated powder XRD pattern (Cu Kα, 1.54184 Å), based on the PBE geometry in Alexandria.
No peak broadening, texture or thermal motion is included.

Crystal structure
Unit cell a=7.436 b=4.559 c=8.064 alpha=90.00 beta=107.75 gamma=90.00
Atoms (fractional coordinates):
La 0.135 0.250 0.335
La 0.279 0.250 0.949
La 0.721 0.750 0.051
La 0.865 0.750 0.665
Zn 0.447 0.750 0.325
Zn 0.553 0.250 0.675
In 0.333 0.750 0.650
In 0.667 0.250 0.350
Ir 0.123 0.750 0.089
Ir 0.877 0.250 0.911

Most intense lines, 2θ = 10–90°, by angle:
two_theta  d (Å)  I/Imax
11.52  7.680  36
14.19  6.240  45
30.10  2.969  31
30.43  2.937  100
30.86  2.897  38
31.29  2.858  41
34.84  2.575  72
35.05  2.560  27
36.75  2.445  62
39.53  2.279  60


Entry 6:
V3Pd: simulated powder XRD pattern (Cu Kα, 1.54184 Å), based on the PBE geometry in Alexandria.
No peak broadening, texture or thermal motion is included.

Crystal structure
Unit cell a=4.815 b=4.815 c=4.815 alpha=90.00 beta=90.00 gamma=90.00
Atoms (fractional coordinates):
V 0.000 0.250 0.500
V 0.000 0.750 0.500
V 0.250 0.500 0.000
V 0.500 0.000 0.250
V 0.500 0.000 0.750
V 0.750 0.500 0.000
Pd 0.000 0.000 0.000
Pd 0.500 0.500 0.500

Most intense lines, 2θ = 10–90°, by angle:
two_theta  d (Å)  I/Imax
26.17  3.405  32
37.35  2.407  47
41.96  2.153  52
46.18  1.966  100
53.86  1.702  5
60.84  1.523  7
70.52  1.335  10
73.61  1.287  47
79.65  1.204  12
85.58  1.135  4


Entry 7:
Tb2Pd7Au3: simulated powder XRD pattern (Cu Kα, 1.54184 Å), based on the PBE geometry in Alexandria.
No peak broadening, texture or thermal motion is included.

Crystal structure
Unit cell a=4.561 b=5.182 c=10.670 alpha=102.39 beta=92.66 gamma=113.11
Atoms (fractional coordinates):
Tb 0.221 0.446 0.264
Tb 0.779 0.554 0.736
Pd 0.000 0.000 0.000
Pd 0.073 0.171 0.766
Pd 0.177 0.309 0.529
Pd 0.464 0.941 0.868
Pd 0.536 0.059 0.132
Pd 0.823 0.691 0.471
Pd 0.927 0.829 0.234
Au 0.436 0.910 0.612
Au 0.500 0.500 0.000
Au 0.564 0.090 0.388

Most intense lines, 2θ = 10–90°, by angle:
two_theta  d (Å)  I/Imax
31.28  2.859  43
35.32  2.541  48
35.92  2.500  54
37.63  2.390  100
38.31  2.349  78
38.61  2.332  49
39.59  2.276  71
40.02  2.253  99
41.26  2.188  73
43.21  2.094  52


Entry 8:
Li2Al7Zn2: simulated powder XRD pattern (Cu Kα, 1.54184 Å), based on the PBE geometry in Alexandria.
No peak broadening, texture or thermal motion is included.

Crystal structure
Unit cell a=5.465 b=5.465 c=7.434 alpha=90.00 beta=90.00 gamma=120.08
Atoms (fractional coordinates):
Li 0.229 0.771 0.000
Li 0.771 0.229 0.000
Al 0.000 0.000 0.192
Al 0.000 0.000 0.808
Al 0.000 0.500 0.312
Al 0.000 0.500 0.688
Al 0.500 0.000 0.312
Al 0.500 0.000 0.688
Al 0.500 0.500 0.000
Zn 0.260 0.260 0.500
Zn 0.740 0.740 0.500

Most intense lines, 2θ = 10–90°, by angle:
two_theta  d (Å)  I/Imax
11.91  7.434  100
18.74  4.734  27
30.58  2.923  70
35.02  2.562  56
38.01  2.367  46
40.00  2.254  36
41.12  2.195  51
45.46  1.995  55
52.64  1.739  34
53.57  1.711  25